(1)
Structure and simulated powder diffraction line list of NaZr2C (DFT lattice parameters and positions (GGA-PBE); Cu Kα (weighted mean of Kα1 and Kα2)).

Structure:
a b c (Å): 3.3302 3.3302 27.4267
angles (deg): 90.00 90.00 120.00
Space group R-3m (No. 166, hexagonal axes)
Symmetry-distinct sites (fractional):
Na 0.0000 0.0000 0.0000 [3 per cell]
Zr 0.0000 0.0000 0.1214 [6 per cell]
C 0.0000 0.0000 0.5000 [3 per cell]

Largest 12 diffraction maxima, sorted by position, 2θ = 10–90°:
2θ/deg	d (Å)	I_rel	hkl
29.31	3.047	51	0 0 9
31.18	2.868	99	1 0 1
33.71	2.658	82	1 0 4
35.16	2.553	56	0 1 5
38.77	2.323	38	1 0 7
40.89	2.207	100	0 1 8
53.84	1.703	21	1 0 13
55.16	1.665	41	1 1 0
56.15	1.638	19	1 1 3
63.09	1.474	24	1 0 16
63.69	1.461	32	1 1 9
69.90	1.346	18	1 1 12

(2)
Structure and simulated powder diffraction line list of NbC (DFT lattice parameters and positions (GGA-PBE); Cu Kα (weighted mean of Kα1 and Kα2)).

Structure:
a b c (Å): 4.5062 4.5062 4.5062
angles (deg): 90.00 90.00 90.00
Space group Fm-3m (No. 225)
Symmetry-distinct sites (fractional):
Nb 0.0000 0.0000 0.0000 [4 per cell]
C 0.0000 0.0000 0.5000 [4 per cell]

Largest 6 diffraction maxima, sorted by position, 2θ = 10–90°:
2θ/deg	d (Å)	I_rel	hkl
34.47	2.602	100	1 1 1
40.02	2.253	76	2 0 0
57.88	1.593	49	2 2 0
69.14	1.359	40	3 1 1
72.69	1.301	16	2 2 2
86.36	1.127	8	4 0 0

(3)
Structure and simulated powder diffraction line list of Nb4C23 (DFT lattice parameters and positions (GGA-PBE); Cu Kα (weighted mean of Kα1 and Kα2)).

Structure:
a b c (Å): 7.3138 7.3138 7.3138
angles (deg): 90.00 90.00 90.00
Space group Pm-3n (No. 223)
Symmetry-distinct sites (fractional):
Nb 0.0000 0.0000 0.0000 [2 per cell]
Nb 0.0000 0.2500 0.5000 [6 per cell]
C 0.0000 0.2910 0.1774 [24 per cell]
C 0.0000 0.5000 0.2500 [6 per cell]
C 0.1839 0.1839 0.1839 [16 per cell]

Largest 12 diffraction maxima, sorted by position, 2θ = 10–90°:
2θ/deg	d (Å)	I_rel	hkl
24.34	3.657	18	2 0 0
27.27	3.271	85	2 1 0
29.93	2.986	100	2 1 1
44.67	2.028	56	3 2 0
46.46	1.955	100	3 2 1
49.87	1.828	37	4 0 0
56.25	1.635	17	4 2 0
57.77	1.596	22	4 2 1
69.17	1.358	25	4 3 2
70.53	1.335	15	5 2 1
73.21	1.293	19	4 4 0
81.05	1.186	30	5 3 2

(4)
Structure and simulated powder diffraction line list of NbNiC (DFT lattice parameters and positions (GGA-PBE); Cu Kα (weighted mean of Kα1 and Kα2)).

Structure:
a b c (Å): 6.1918 7.5136 3.0751
angles (deg): 90.00 90.00 90.00
Space group Cmmm (No. 65)
Symmetry-distinct sites (fractional):
Nb 0.0000 0.2170 0.0000 [4 per cell]
Ni 0.2094 0.5000 0.5000 [4 per cell]
C 0.2500 0.2500 0.5000 [4 per cell]

Largest 12 diffraction maxima, sorted by position, 2θ = 10–90°:
2θ/deg	d (Å)	I_rel	hkl
34.69	2.586	16	1 1 1
37.65	2.389	90	2 2 0
37.81	2.380	100	0 2 1
38.78	2.322	24	1 3 0
41.38	2.182	100	2 0 1
48.46	1.878	23	0 4 0
60.19	1.538	17	0 0 2
65.58	1.423	31	2 4 1
66.06	1.414	18	3 3 1
71.52	1.319	14	1 5 1
72.90	1.298	17	4 2 1
73.20	1.293	24	2 2 2

(5)
Structure and simulated powder diffraction line list of NbNiC (DFT lattice parameters and positions (GGA-PBE); Cu Kα (weighted mean of Kα1 and Kα2)).

Structure:
a b c (Å): 3.0959 3.7837 3.0966
angles (deg): 90.00 90.00 90.00
Space group Pm (No. 6)
Symmetry-distinct sites (fractional):
Nb 0.0000 0.0000 0.0000 [1 per cell]
Ni 0.4971 0.5000 0.5059 [1 per cell]
C 0.5002 0.0000 0.4996 [1 per cell]

Largest 12 diffraction maxima, sorted by position, 2θ = 10–90°:
2θ/deg	d (Å)	I_rel	hkl
23.51	3.784	7	0 1 0
28.83	3.096	2	0 0 1
37.53	2.396	100	1 1 0
41.23	2.189	49	1 0 1
48.08	1.892	19	0 2 0
57.05	1.614	1	0 2 1
59.73	1.548	15	2 0 0
65.17	1.432	25	1 2 1
72.72	1.300	27	2 1 1
80.10	1.198	13	2 2 0
82.60	1.168	10	1 3 0
89.54	1.095	5	2 0 2

(6)
Structure and simulated powder diffraction line list of NbCO2 (DFT lattice parameters and positions (GGA-PBE); Cu Kα (weighted mean of Kα1 and Kα2)).

Structure:
a b c (Å): 6.1798 6.1798 8.7598
angles (deg): 90.00 90.00 90.00
Space group I4_1/amd (No. 141, origin choice 2)
Symmetry-distinct sites (fractional):
Nb 0.0000 0.2500 0.3750 [4 per cell]
C 0.0000 0.2500 0.8750 [4 per cell]
O 0.0000 0.0000 0.5000 [8 per cell]

Largest 12 diffraction maxima, sorted by position, 2θ = 10–90°:
2θ/deg	d (Å)	I_rel	hkl
17.56	5.050	100	1 0 1
28.87	3.092	85	2 0 0
34.00	2.637	18	2 1 1
41.29	2.187	7	2 2 0
45.19	2.007	25	3 0 1
51.16	1.785	32	3 1 2
59.82	1.546	15	4 0 0
62.84	1.479	12	3 2 3
62.91	1.477	6	4 1 1
67.81	1.382	9	4 2 0
82.51	1.169	10	4 2 4
82.60	1.168	5	5 1 2

(7)
Structure and simulated powder diffraction line list of Nb7Os2C2 (DFT lattice parameters and positions (GGA-PBE); Cu Kα (weighted mean of Kα1 and Kα2)).

Structure:
a b c (Å): 3.0128 14.1370 7.9693
angles (deg): 90.00 90.00 90.00
Space group Imm2 (No. 44)
Symmetry-distinct sites (fractional):
Nb 0.0000 0.0000 0.0000 [2 per cell]
Nb 0.0000 0.1336 0.5615 [4 per cell]
Nb 0.0000 0.3170 0.3766 [4 per cell]
Nb 0.0000 0.3413 0.7250 [4 per cell]
Os 0.0000 0.0000 0.3162 [2 per cell]
Os 0.0000 0.5000 0.2237 [2 per cell]
C 0.0000 0.2495 0.0836 [4 per cell]

Largest 12 diffraction maxima, sorted by position, 2θ = 10–90°:
2θ/deg	d (Å)	I_rel	hkl
12.52	7.068	47	0 2 0
31.75	2.818	33	1 0 1
34.27	2.616	70	1 2 1
37.98	2.369	35	1 1 2
38.20	2.356	54	0 6 0
38.92	2.314	100	0 3 3
40.96	2.203	92	1 4 1
42.21	2.141	46	1 3 2
47.41	1.918	33	1 2 3
55.69	1.650	25	1 1 4
61.56	1.506	20	2 0 0
75.24	1.263	44	2 3 3

(8)
Structure and simulated powder diffraction line list of Nb6P2C (DFT lattice parameters and positions (GGA-PBE); Cu Kα (weighted mean of Kα1 and Kα2)).

Structure:
a b c (Å): 10.5516 3.3518 7.8468
angles (deg): 90.00 91.17 90.00
Space group C2/m (No. 12)
Symmetry-distinct sites (fractional):
Nb 0.0479 0.0000 0.2264 [4 per cell]
Nb 0.1329 0.5000 0.5508 [4 per cell]
Nb 0.1473 0.5000 0.9336 [4 per cell]
P 0.2372 0.5000 0.2524 [4 per cell]
C 0.0000 0.0000 0.5000 [2 per cell]

Largest 12 diffraction maxima, sorted by position, 2θ = 10–90°:
2θ/deg	d (Å)	I_rel	hkl
36.15	2.485	48	1 1 -2
36.38	2.470	70	1 1 2
37.05	2.426	100	3 1 0
38.10	2.362	56	2 0 -3
38.71	2.326	58	2 0 3
39.01	2.309	23	3 1 1
41.65	2.168	36	4 0 2
44.93	2.017	26	1 1 3
54.77	1.676	30	0 2 0
62.47	1.487	23	5 1 -3
68.67	1.367	19	2 2 -3
71.10	1.326	21	4 2 2

Repeat the fifth record exactly.
Structure and simulated powder diffraction line list of NbNiC (DFT lattice parameters and positions (GGA-PBE); Cu Kα (weighted mean of Kα1 and Kα2)).

Structure:
a b c (Å): 3.0959 3.7837 3.0966
angles (deg): 90.00 90.00 90.00
Space group Pm (No. 6)
Symmetry-distinct sites (fractional):
Nb 0.0000 0.0000 0.0000 [1 per cell]
Ni 0.4971 0.5000 0.5059 [1 per cell]
C 0.5002 0.0000 0.4996 [1 per cell]

Largest 12 diffraction maxima, sorted by position, 2θ = 10–90°:
2θ/deg	d (Å)	I_rel	hkl
23.51	3.784	7	0 1 0
28.83	3.096	2	0 0 1
37.53	2.396	100	1 1 0
41.23	2.189	49	1 0 1
48.08	1.892	19	0 2 0
57.05	1.614	1	0 2 1
59.73	1.548	15	2 0 0
65.17	1.432	25	1 2 1
72.72	1.300	27	2 1 1
80.10	1.198	13	2 2 0
82.60	1.168	10	1 3 0
89.54	1.095	5	2 0 2